Record 1
Starting from a PBE-relaxed structure, the X-ray powder pattern of Li2Si2O5 was calculated for Cu Kα X-rays.
Lines closer than 0.1° are merged.

Principal peaks in the range 2θ = 15–90°, in order of rising 2θ:
- 2θ = 16.18°, rel. 14, hkl 1 1 0
- 2θ = 23.50°, rel. 69, hkl 1 3 0
- 2θ = 24.04°, rel. 43, hkl 0 4 0
- 2θ = 24.52°, rel. 100, hkl 1 1 1
- 2θ = 30.31°, rel. 10, hkl 2 0 0
- 2θ = 37.10°, rel. 27, hkl 0 0 2
- 2θ = 37.72°, rel. 19, hkl 2 2 1
- 2θ = 38.77°, rel. 11, hkl 1 5 1
- 2θ = 45.56°, rel. 16, hkl 1 7 0
- 2θ = 49.94°, rel. 9, hkl 3 3 0
- 2θ = 67.28°, rel. 12, hkl 2 2 3
- 2θ = 67.97°, rel. 9, hkl 1 5 3

Crystal structure
abc: 5.8972 14.8078 4.8469
angles: 90.00 90.00 90.00
Space group Ccc2 (No. 37)
One atom of each set of equivalent atoms:
Li (0.1531, 0.0580, 0.0000) x8
Si (0.1554, 0.3518, 0.4966) x8
O (0.0919, 0.3624, 0.8303) x8
O (0.1695, 0.0717, 0.4047) x8
O (0.2500, 0.2500, 0.4402) x4



Record 2
Starting from a PBE-relaxed structure, the X-ray powder pattern of LiSi6O12 was calculated for Cu Kα X-rays.
Lines closer than 0.1° are merged.

Principal peaks in the range 2θ = 15–90°, in order of rising 2θ:
- 2θ = 19.25°, rel. 55, hkl 0 1 -1
- 2θ = 19.44°, rel. 21, hkl 1 1 1
- 2θ = 25.03°, rel. 100, hkl 0 2 0
- 2θ = 25.57°, rel. 67, hkl 1 -1 0
- 2θ = 25.85°, rel. 54, hkl 1 1 2
- 2θ = 27.35°, rel. 12, hkl 1 1 -1
- 2θ = 27.48°, rel. 15, hkl 1 2 0
- 2θ = 30.04°, rel. 14, hkl 1 2 2
- 2θ = 39.05°, rel. 7, hkl 0 2 -2
- 2θ = 47.38°, rel. 10, hkl 1 -3 0
- 2θ = 47.71°, rel. 14, hkl 1 1 4
- 2θ = 64.30°, rel. 12, hkl 0 1 5

Crystal structure
abc: 5.0323 7.6407 7.6506
angles: 74.24 71.28 71.42
Space group P-1 (No. 2)
One atom of each set of equivalent atoms:
Li (0.0000, 0.0000, 0.0000) x1
Si (0.0009, 0.2560, 0.7422) x2
Si (0.0684, 0.1814, 0.1787) x2
Si (0.4114, 0.3422, 0.3403) x2
O (0.0754, 0.9505, 0.2334) x2
O (0.0768, 0.2337, 0.9481) x2
O (0.2356, 0.6986, 0.7023) x2
O (0.2801, 0.5685, 0.2774) x2
O (0.2823, 0.2748, 0.5662) x2
O (0.3432, 0.2210, 0.2171) x2



Record 3
Starting from a PBE-relaxed structure, the X-ray powder pattern of LiSi2O4 was calculated for Cu Kα X-rays.
Lines closer than 0.1° are merged.

Principal peaks in the range 2θ = 15–90°, in order of rising 2θ:
- 2θ = 18.36°, rel. 100, hkl 0 0 1
- 2θ = 30.27°, rel. 22, hkl 1 1 0
- 2θ = 35.64°, rel. 77, hkl 1 1 1
- 2θ = 48.71°, rel. 19, hkl 1 1 2
- 2θ = 58.43°, rel. 22, hkl 2 0 2
- 2θ = 62.97°, rel. 12, hkl 2 2 0
- 2θ = 66.09°, rel. 7, hkl 1 1 3
- 2θ = 66.20°, rel. 8, hkl 2 2 1
- 2θ = 71.45°, rel. 3, hkl 3 1 0
- 2θ = 74.46°, rel. 24, hkl 2 0 3
- 2θ = 83.43°, rel. 7, hkl 3 1 2
- 2θ = 87.21°, rel. 4, hkl 1 1 4

Crystal structure
abc: 4.1752 4.1752 4.8310
angles: 90.00 90.00 90.00
Space group P-42m (No. 111)
One atom of each set of equivalent atoms:
Li (0.0000, 0.0000, 0.0000) x1
Si (0.0000, 0.5000, 0.5000) x2
O (0.2464, 0.2464, 0.3165) x4